Diffraction record for K2SnBr6. The powder X-ray diffraction pattern is simulated, not measured: it uses a structure optimized by DFT (PBE) and copper Kα.

Structure:
```
data_K2SnBr6
_space_group_name_H-M_alt 'P 1'
_space_group_IT_number 1
_space_group_name_Hall 'P 1'
_cell_length_a 7.480
_cell_length_b 7.480
_cell_length_c 11.322
_cell_angle_alpha 90.00
_cell_angle_beta 90.00
_cell_angle_gamma 90.00
loop_
_atom_site_label
_atom_site_type_symbol
_atom_site_fract_x
_atom_site_fract_y
_atom_site_fract_z
_atom_site_occupancy
K1 K 0.000 0.500 0.250 1
K2 K 0.000 0.500 0.750 1
K3 K 0.500 0.000 0.250 1
K4 K 0.500 0.000 0.750 1
Sn1 Sn 0.000 0.000 0.000 1
Sn2 Sn 0.500 0.500 0.500 1
Br1 Br 0.000 0.000 0.237 1
Br2 Br 0.000 0.000 0.763 1
Br3 Br 0.189 0.300 0.000 1
Br4 Br 0.200 0.311 0.500 1
Br5 Br 0.300 0.811 0.000 1
Br6 Br 0.311 0.800 0.500 1
Br7 Br 0.500 0.500 0.263 1
Br8 Br 0.500 0.500 0.737 1
Br9 Br 0.689 0.200 0.500 1
Br10 Br 0.700 0.189 0.000 1
Br11 Br 0.800 0.689 0.500 1
Br12 Br 0.811 0.700 0.000 1
```

Most intense lines, 10° ≤ 2θ ≤ 80°, by intensity:
d 3.120, intensity 100, hkl 2 0 2
d 6.241, intensity 76, hkl 1 0 1
d 2.645, intensity 70, hkl 2 2 0
d 2.830, intensity 64, hkl 0 0 4
d 1.932, intensity 53, hkl 2 2 4
d 2.880, intensity 44, hkl 2 1 2
d 5.289, intensity 33, hkl 1 1 0
d 3.345, intensity 33, hkl 2 1 0
d 5.661, intensity 30, hkl 0 0 2
d 2.365, intensity 29, hkl 3 1 0